1.
For CuPdPb, a crystal structure in Alexandria, relaxed with PBE gives the simulated powder diffractogram in this record (Cu Kα, 1.54184 Å).
No peak broadening, texture or thermal motion is included.

Cell and atoms:
Cell lengths 4.8225, 4.8440, 9.3545 Å; angles 90.00, 90.00, 90.00 degrees
Space group Cmmm (No. 65)
Symmetry-distinct sites (fractional):
Cu 0.0000 0.0000 0.1317 [4 per cell]
Pd 0.0000 0.0000 0.5000 [2 per cell]
Pd 0.0000 0.5000 0.0000 [2 per cell]
Pb 0.0000 0.5000 0.3102 [4 per cell]

Principal peaks in the range 5° ≤ 2θ ≤ 70°, sorted by position:
2theta  intensity  h k l
26.07  21  1 1 0
32.45  28  1 1 2
37.12  35  0 2 0
37.29  34  2 0 0
39.11  100  1 1 3
53.63  24  2 2 0
68.24  19  1 3 3
68.46  19  3 1 3

***

2.
For HfMg4In7, a crystal structure in Alexandria, relaxed with PBE gives the simulated powder diffractogram in this record (Cu Kα, 1.54184 Å).
No peak broadening, texture or thermal motion is included.

Cell and atoms:
Cell lengths 3.3296, 3.3296, 29.8708 Å; angles 90.00, 90.00, 120.00 degrees
Space group P-3m1 (No. 164)
Symmetry-distinct sites (fractional):
Hf 0.0000 0.0000 0.0000 [1 per cell]
Mg 0.3333 0.6667 0.1629 [2 per cell]
Mg 0.3333 0.6667 0.4190 [2 per cell]
In 0.0000 0.0000 0.2462 [2 per cell]
In 0.0000 0.0000 0.5000 [1 per cell]
In 0.3333 0.6667 0.6650 [2 per cell]
In 0.3333 0.6667 0.9176 [2 per cell]

Principal peaks in the range 5° ≤ 2θ ≤ 70°, sorted by position:
2theta  intensity  h k l
8.88  27  0 0 3
11.85  16  0 0 4
33.31  100  1 0 4
36.08  26  0 0 12
39.49  61  0 1 8
55.17  23  1 1 0
58.94  18  1 0 16
67.71  23  1 1 12

***

3.
For BaAg2Cl4, a crystal structure in Alexandria, relaxed with PBE gives the simulated powder diffractogram in this record (Cu Kα, 1.54184 Å).
No peak broadening, texture or thermal motion is included.

Cell and atoms:
Cell lengths 7.5976, 7.5976, 6.7949 Å; angles 90.00, 90.00, 90.00 degrees
Space group I422 (No. 97)
Symmetry-distinct sites (fractional):
Ba 0.0000 0.0000 0.0000 [2 per cell]
Ag 0.0000 0.5000 0.0000 [4 per cell]
Cl 0.1868 0.3132 0.7500 [8 per cell]

Principal peaks in the range 5° ≤ 2θ ≤ 70°, sorted by position:
2theta  intensity  h k l
17.51  48  1 0 1
23.42  44  2 0 0
29.39  42  2 1 1
33.36  52  2 2 0
35.45  100  2 0 2
42.92  23  2 2 2
53.97  26  0 0 4
60.98  24  4 2 2

***

4.
For La5Pr4Tl4, a crystal structure in Alexandria, relaxed with PBE gives the simulated powder diffractogram in this record (Cu Kα, 1.54184 Å).
No peak broadening, texture or thermal motion is included.

Cell and atoms:
Cell lengths 12.8879, 12.8879, 5.2830 Å; angles 90.00, 90.00, 90.00 degrees
Space group I4/m (No. 87)
Symmetry-distinct sites (fractional):
La 0.0000 0.0000 0.0000 [2 per cell]
La 0.0991 0.1943 0.5000 [8 per cell]
Pr 0.0890 0.3851 0.0000 [8 per cell]
Tl 0.1088 0.7690 0.0000 [8 per cell]

Principal peaks in the range 5° ≤ 2θ ≤ 70°, sorted by position:
2theta  intensity  h k l
30.19  100  3 2 1
31.03  10  4 2 0
33.31  12  4 1 1
33.94  23  0 0 2
35.52  17  1 5 0
49.94  13  1 5 2
58.42  16  3 2 3
61.87  9  5 5 2